(1)
This entry pairs a crystal structure of Li2Hf2O5 with its theoretical powder XRD pattern. Radiation: Cu Kα, 1.54184 Å. Structure: a cell relaxed with GGA-PBE.
No peak broadening, texture or thermal motion is included.

a = 10.2648 Å, b = 3.8964 Å, c = 12.9465 Å
α = 90.00°, β = 122.73°, γ = 90.00°
Fractional positions:
Li: 0.0491 0.2399 0.4542
Li: 0.0491 0.2601 0.9542
Li: 0.0748 0.7013 0.3284
Li: 0.0748 0.7987 0.8284
Li: 0.9252 0.2013 0.1716
Li: 0.9252 0.2987 0.6716
Li: 0.9509 0.7399 0.0458
Li: 0.9509 0.7601 0.5458
Hf: 0.3314 0.6783 0.1473
Hf: 0.3314 0.8217 0.6473
Hf: 0.3336 0.1319 0.3664
Hf: 0.3336 0.3681 0.8664
Hf: 0.6664 0.6319 0.1336
Hf: 0.6664 0.8681 0.6336
Hf: 0.6686 0.1783 0.3527
Hf: 0.6686 0.3217 0.8527
O: 0.1189 0.7462 0.0165
O: 0.1189 0.7538 0.5165
O: 0.1256 0.1931 0.3366
O: 0.1256 0.3069 0.8366
O: 0.3013 0.6525 0.2981
O: 0.3013 0.8475 0.7981
O: 0.3840 0.1692 0.2130
O: 0.3840 0.3308 0.7130
O: 0.4140 0.6183 0.0351
O: 0.4140 0.8817 0.5351
O: 0.5860 0.1183 0.4649
O: 0.5860 0.3817 0.9649
O: 0.6160 0.6692 0.2870
O: 0.6160 0.8308 0.7870
O: 0.6987 0.1525 0.2019
O: 0.6987 0.3475 0.7019
O: 0.8744 0.6931 0.1634
O: 0.8744 0.8069 0.6634
O: 0.8811 0.2462 0.4835
O: 0.8811 0.2538 0.9835

Principal peaks in the range 10 to 80 degrees two-theta, by intensity:
| 2theta | I_rel |
| --- | --- |
| 10.24 | 100.0 |
| 28.16 | 57.8 |
| 31.07 | 34.2 |
| 30.66 | 24.2 |
| 20.57 | 22.1 |
| 34.89 | 20.9 |
| 32.89 | 18.8 |
| 27.72 | 18.4 |
| 24.26 | 18.4 |
| 29.25 | 16.7 |

***

(2)
This entry pairs a crystal structure of AgN with its theoretical powder XRD pattern. Radiation: Cu Kα, 1.54184 Å. Structure: a cell relaxed with GGA-PBE.
No peak broadening, texture or thermal motion is included.

a = 3.2641 Å, b = 3.2641 Å, c = 3.2641 Å
α = 60.00°, β = 60.00°, γ = 60.00°
Fractional positions:
Ag: 0.0000 0.0000 0.0000
N: 0.5000 0.5000 0.5000

Principal peaks in the range 10 to 80 degrees two-theta, by intensity:
| 2theta | I_rel |
| --- | --- |
| 33.63 | 100.0 |
| 39.02 | 79.7 |
| 56.38 | 50.0 |
| 67.27 | 39.3 |
| 70.69 | 16.1 |

***

(3)
This entry pairs a crystal structure of Sr7MnN6 with its theoretical powder XRD pattern. Radiation: Cu Kα, 1.54184 Å. Structure: a cell relaxed with GGA-PBE.
No peak broadening, texture or thermal motion is included.

a = 11.8435 Å, b = 6.7151 Å, c = 13.6655 Å
α = 90.00°, β = 90.00°, γ = 90.00°
Fractional positions:
Sr: 0.0000 0.0649 0.2500
Sr: 0.0000 0.9351 0.7500
Sr: 0.0372 0.2355 0.5210
Sr: 0.0372 0.7645 0.0210
Sr: 0.2084 0.3855 0.1302
Sr: 0.2084 0.6145 0.6302
Sr: 0.2185 0.3622 0.8786
Sr: 0.2185 0.6378 0.3786
Sr: 0.2815 0.1378 0.3786
Sr: 0.2815 0.8622 0.8786
Sr: 0.2916 0.1145 0.6302
Sr: 0.2916 0.8855 0.1302
Sr: 0.4628 0.2645 0.0210
Sr: 0.4628 0.7355 0.5210
Sr: 0.5000 0.4351 0.7500
Sr: 0.5000 0.5649 0.2500
Sr: 0.5372 0.2645 0.4790
Sr: 0.5372 0.7355 0.9790
Sr: 0.7084 0.1145 0.8698
Sr: 0.7084 0.8855 0.3698
Sr: 0.7185 0.1378 0.1214
Sr: 0.7185 0.8622 0.6214
Sr: 0.7815 0.3622 0.6214
Sr: 0.7815 0.6378 0.1214
Sr: 0.7916 0.3855 0.3698
Sr: 0.7916 0.6145 0.8698
Sr: 0.9628 0.2355 0.9790
Sr: 0.9628 0.7645 0.4790
Mn: 0.0000 0.4274 0.7500
Mn: 0.0000 0.5726 0.2500
Mn: 0.5000 0.0726 0.2500
Mn: 0.5000 0.9274 0.7500
N: 0.0394 0.4164 0.3533
N: 0.0394 0.5836 0.8533
N: 0.1174 0.2726 0.7127
N: 0.1174 0.7274 0.2127
N: 0.1661 0.0906 0.0029
N: 0.1661 0.9094 0.5029
N: 0.3339 0.4094 0.5029
N: 0.3339 0.5906 0.0029
N: 0.3826 0.2274 0.2127
N: 0.3826 0.7726 0.7127
N: 0.4606 0.0836 0.8533
N: 0.4606 0.9164 0.3533
N: 0.5394 0.0836 0.6467
N: 0.5394 0.9164 0.1467
N: 0.6174 0.2274 0.2873
N: 0.6174 0.7726 0.7873
N: 0.6661 0.4094 0.9971
N: 0.6661 0.5906 0.4971
N: 0.8339 0.0906 0.4971
N: 0.8339 0.9094 0.9971
N: 0.8826 0.2726 0.7873
N: 0.8826 0.7274 0.2873
N: 0.9606 0.4164 0.1467
N: 0.9606 0.5836 0.6467

Principal peaks in the range 10 to 80 degrees two-theta, by intensity:
| 2theta | I_rel |
| --- | --- |
| 30.20 | 100.0 |
| 33.73 | 32.5 |
| 28.39 | 27.4 |
| 33.36 | 23.2 |
| 34.02 | 22.0 |
| 48.72 | 14.6 |
| 29.65 | 13.9 |
| 52.32 | 11.5 |
| 53.65 | 11.5 |
| 40.45 | 11.3 |

***

(4)
This entry pairs a crystal structure of NaCrN with its theoretical powder XRD pattern. Radiation: Cu Kα, 1.54184 Å. Structure: a cell relaxed with GGA-PBE.
No peak broadening, texture or thermal motion is included.

a = 3.1071 Å, b = 3.1071 Å, c = 10.4992 Å
α = 90.00°, β = 90.00°, γ = 119.97°
Fractional positions:
Na: 0.1659 0.8341 0.5000
Na: 0.8341 0.1659 0.0000
Cr: 0.4995 0.5005 0.2407
Cr: 0.5005 0.4995 0.7407
N: 0.1661 0.8339 0.1902
N: 0.8339 0.1661 0.6902

Principal peaks in the range 10 to 80 degrees two-theta, by intensity:
| 2theta | I_rel |
| --- | --- |
| 37.56 | 100.0 |
| 16.89 | 69.8 |
| 34.16 | 39.9 |
| 59.49 | 24.5 |
| 33.29 | 23.1 |
| 70.42 | 22.6 |
| 63.40 | 22.5 |
| 48.44 | 19.4 |
| 42.37 | 18.7 |
| 34.40 | 14.1 |